Entry 1:
TbDyMg5: computed powder diffractogram (λ = 1.5418 Å (Cu Kα)), based on a cell relaxed with PBE.
Neutral-atom scattering factors, no anomalous dispersion.

Most intense lines, 15° ≤ 2θ ≤ 90°, in order of rising 2θ:
| hkl | 2θ/deg | intensity |
| --- | --- | --- |
| 0 2 0 | 18.3 | 48 |
| 1 1 -1 | 19.1 | 100 |
| 1 1 1 | 25.7 | 68 |
| 1 3 -1 | 32.4 | 49 |
| 2 0 -2 | 33.8 | 35 |
| 0 2 2 | 34.5 | 60 |
| 2 2 0 | 35.2 | 54 |
| 0 4 0 | 37.0 | 22 |
| 1 1 -3 | 42.4 | 18 |
| 2 2 -4 | 60.5 | 19 |

Crystal structure
Lattice parameters (Å, degrees): 6.3813 9.7101 6.5583 90.00 110.01 90.00
Space group C2/m (No. 12)
Symmetry-distinct sites (fractional):
1 Tb 0.0000 0.0000 0.0000 [2 per cell]
2 Dy 0.0000 0.5000 0.5000 [2 per cell]
3 Mg 0.0000 0.0000 0.5000 [2 per cell]
4 Mg 0.2047 0.2877 0.2251 [8 per cell]


Entry 2:
BaCuRu5O11: computed powder diffractogram (λ = 1.5418 Å (Cu Kα)), based on a cell relaxed with PBE.
Neutral-atom scattering factors, no anomalous dispersion.

Most intense lines, 15° ≤ 2θ ≤ 90°, in order of rising 2θ:
| hkl | 2θ/deg | intensity |
| --- | --- | --- |
| 0 0 4 | 25.4 | 28 |
| 1 1 0 | 30.2 | 38 |
| 1 0 4 | 30.9 | 100 |
| 1 1 2 | 32.8 | 95 |
| 2 0 0 | 35.0 | 32 |
| 2 0 2 | 37.3 | 54 |
| 2 0 6 | 53.0 | 81 |
| 2 1 4 | 54.0 | 45 |
| 3 0 2 | 55.3 | 25 |
| 2 2 0 | 62.7 | 39 |

Crystal structure
Lattice parameters (Å, degrees): 5.9244 5.9244 14.0241 90.00 90.00 120.00
Space group P6_3/mmc (No. 194)
Symmetry-distinct sites (fractional):
1 Ba 0.3333 0.6667 0.2500 [2 per cell]
2 Cu 0.3333 0.6667 0.7500 [2 per cell]
3 Ru 0.0000 0.0000 0.1536 [4 per cell]
4 Ru 0.0000 0.5000 0.0000 [6 per cell]
5 O 0.1478 0.2955 0.7500 [6 per cell]
6 O 0.1691 0.3383 0.0803 [12 per cell]
7 O 0.3333 0.6667 0.5816 [4 per cell]


Entry 3:
Nd5Sm5Sc: computed powder diffractogram (λ = 1.5418 Å (Cu Kα)), based on a cell relaxed with PBE.
Neutral-atom scattering factors, no anomalous dispersion.

Most intense lines, 15° ≤ 2θ ≤ 90°, in order of rising 2θ:
| hkl | 2θ/deg | intensity |
| --- | --- | --- |
| 4 0 1 | 28.0 | 28 |
| 0 2 0 | 29.5 | 100 |
| 3 1 -2 | 29.9 | 55 |
| 6 0 0 | 30.2 | 59 |
| 1 1 2 | 33.1 | 83 |
| 5 1 -2 | 33.2 | 80 |
| 6 2 0 | 42.7 | 45 |
| 4 0 -4 | 52.1 | 24 |
| 4 2 -4 | 61.1 | 28 |
| 0 4 0 | 61.2 | 21 |

Crystal structure
Lattice parameters (Å, degrees): 19.0536 6.0582 7.0154 90.00 111.21 90.00
Space group C2/m (No. 12)
Symmetry-distinct sites (fractional):
1 Nd 0.0000 0.0000 0.0000 [2 per cell]
2 Nd 0.1732 0.5000 0.4159 [4 per cell]
3 Nd 0.1730 0.5000 0.9296 [4 per cell]
4 Sm 0.0000 0.5000 0.5000 [2 per cell]
5 Sm 0.1249 0.0000 0.6278 [4 per cell]
6 Sm 0.1705 0.0000 0.1729 [4 per cell]
7 Sc 0.0000 0.5000 0.0000 [2 per cell]


Entry 4:
Tb7Tl2Ga: computed powder diffractogram (λ = 1.5418 Å (Cu Kα)), based on a cell relaxed with PBE.
Neutral-atom scattering factors, no anomalous dispersion.

Most intense lines, 15° ≤ 2θ ≤ 90°, in order of rising 2θ:
| hkl | 2θ/deg | intensity |
| --- | --- | --- |
| 1 0 0 | 19.6 | 5 |
| 0 0 3 | 20.8 | 10 |
| 1 0 2 | 24.1 | 9 |
| 0 1 3 | 28.8 | 8 |
| 1 1 0 | 34.3 | 100 |
| 1 1 3 | 40.5 | 6 |
| 0 2 4 | 49.3 | 18 |
| 3 0 0 | 61.5 | 32 |
| 2 2 0 | 72.3 | 8 |
| 1 3 4 | 82.6 | 11 |

Crystal structure
Lattice parameters (Å, degrees): 5.2257 5.2257 12.7840 90.00 90.00 120.00
Space group P3m1 (No. 156)
Symmetry-distinct sites (fractional):
1 Tb 0.0000 0.0000 0.0000 [1 per cell]
2 Tb 0.0000 0.0000 0.2541 [1 per cell]
3 Tb 0.0000 0.0000 0.7326 [1 per cell]
4 Tb 0.3333 0.6667 0.3919 [1 per cell]
5 Tb 0.3333 0.6667 0.8868 [1 per cell]
6 Tb 0.6667 0.3333 0.1274 [1 per cell]
7 Tb 0.6667 0.3333 0.5719 [1 per cell]
8 Tl 0.0000 0.0000 0.4927 [1 per cell]
9 Tl 0.6667 0.3333 0.8419 [1 per cell]
10 Ga 0.3333 0.6667 0.1404 [1 per cell]


Entry 5:
AcTlSnRh3: computed powder diffractogram (λ = 1.5418 Å (Cu Kα)), based on a cell relaxed with PBE.
Neutral-atom scattering factors, no anomalous dispersion.

Most intense lines, 15° ≤ 2θ ≤ 90°, in order of rising 2θ:
| hkl | 2θ/deg | intensity |
| --- | --- | --- |
| 0 4 0 | 20.2 | 22 |
| 1 3 1 | 26.6 | 100 |
| 2 0 0 | 30.9 | 38 |
| 0 2 2 | 32.6 | 69 |
| 0 8 0 | 41.1 | 18 |
| 0 6 2 | 44.0 | 89 |
| 2 0 2 | 44.2 | 56 |
| 3 3 1 | 52.3 | 37 |
| 2 8 2 | 62.0 | 21 |
| 2 6 4 | 81.2 | 30 |

Crystal structure
Lattice parameters (Å, degrees): 5.7895 17.5697 5.7929 90.00 90.00 90.00
Space group Cmcm (No. 63)
Symmetry-distinct sites (fractional):
1 Ac 0.0000 0.2426 0.2500 [4 per cell]
2 Tl 0.0000 0.1073 0.7500 [4 per cell]
3 Sn 0.0000 0.4089 0.7500 [4 per cell]
4 Rh 0.0000 0.2601 0.7500 [4 per cell]
5 Rh 0.2389 0.0000 0.0000 [8 per cell]


Entry 6:
BaLi2TmAu4: computed powder diffractogram (λ = 1.5418 Å (Cu Kα)), based on a cell relaxed with PBE.
Neutral-atom scattering factors, no anomalous dispersion.

Most intense lines, 15° ≤ 2θ ≤ 90°, in order of rising 2θ:
| hkl | 2θ/deg | intensity |
| --- | --- | --- |
| 0 1 2 | 23.1 | 67 |
| 1 0 4 | 25.3 | 36 |
| 1 0 7 | 30.5 | 19 |
| 0 1 8 | 32.7 | 72 |
| 1 0 10 | 37.3 | 62 |
| 1 1 0 | 39.1 | 100 |
| 0 1 11 | 39.9 | 26 |
| 2 0 8 | 51.9 | 20 |
| 0 2 10 | 55.2 | 20 |
| 2 1 10 | 69.7 | 20 |

Crystal structure
Lattice parameters (Å, degrees): 4.6028 4.6028 30.2126 90.00 90.00 120.00
Space group R-3m (No. 166, hexagonal axes)
Symmetry-distinct sites (fractional):
1 Ba 0.0000 0.0000 0.0000 [3 per cell]
2 Li 0.0000 0.0000 0.2383 [6 per cell]
3 Tm 0.0000 0.0000 0.5000 [3 per cell]
4 Au 0.0000 0.0000 0.1194 [6 per cell]
5 Au 0.0000 0.0000 0.4040 [6 per cell]


Entry 7:
ZrNbGe2: computed powder diffractogram (λ = 1.5418 Å (Cu Kα)), based on a cell relaxed with PBE.
Neutral-atom scattering factors, no anomalous dispersion.

Most intense lines, 15° ≤ 2θ ≤ 90°, in order of rising 2θ:
| hkl | 2θ/deg | intensity |
| --- | --- | --- |
| 2 1 0 | 25.6 | 9 |
| 2 1 1 | 30.3 | 100 |
| 0 2 2 | 41.5 | 93 |
| 2 3 0 | 45.1 | 46 |
| 4 0 0 | 45.3 | 22 |
| 4 2 1 | 55.4 | 11 |
| 2 1 3 | 56.1 | 17 |
| 4 2 2 | 63.1 | 17 |
| 2 5 2 | 80.7 | 9 |
| 2 3 4 | 84.6 | 14 |

Crystal structure
Lattice parameters (Å, degrees): 8.0071 6.9685 5.5758 90.00 90.00 90.00
Space group Pbcm (No. 57)
Symmetry-distinct sites (fractional):
1 Zr 0.1293 0.0878 0.2500 [4 per cell]
2 Nb 0.3687 0.5770 0.2500 [4 per cell]
3 Ge 0.1305 0.7500 0.0000 [4 per cell]
4 Ge 0.3915 0.2500 0.0000 [4 per cell]


Entry 8:
SrCdPt2: computed powder diffractogram (λ = 1.5418 Å (Cu Kα)), based on a cell relaxed with PBE.
Neutral-atom scattering factors, no anomalous dispersion.

Most intense lines, 15° ≤ 2θ ≤ 90°, in order of rising 2θ:
| hkl | 2θ/deg | intensity |
| --- | --- | --- |
| 0 1 0 | 23.5 | 15 |
| 0 1 2 | 34.8 | 100 |
| 1 1 0 | 37.1 | 100 |
| 1 0 2 | 38.2 | 85 |
| 0 1 3 | 45.4 | 20 |
| 0 2 0 | 48.2 | 36 |
| 2 0 0 | 58.5 | 13 |
| 1 2 2 | 63.1 | 39 |
| 1 1 4 | 65.4 | 18 |
| 2 1 2 | 69.9 | 26 |

Crystal structure
Lattice parameters (Å, degrees): 3.1559 3.7802 7.0658 90.00 90.00 90.00
Space group Pmmm (No. 47)
Symmetry-distinct sites (fractional):
1 Sr 0.0000 0.0000 0.0000 [1 per cell]
2 Cd 0.0000 0.0000 0.5000 [1 per cell]
3 Pt 0.5000 0.5000 0.2909 [2 per cell]